Simulated powder diffraction line list of Ta4TlGeN2 for a wavelength of 1.5418 Å, from a cell relaxed with GGA-PBE.

Top 8 peaks for 2θ from 10° to 80°, low angle first:
d_spacing, intensity
2.657, 24
2.402, 19
2.325, 100
1.782, 13
1.534, 21
1.371, 11
1.293, 16
1.280, 15

Atomic structure:
```
Ta4TlGeN2
1.0
3.0676 0.0000 0.0000
-1.5338 2.6566 0.0000
0.0000 0.0000 14.4110
Ta Tl Ge N
4 1 1 2
direct
0.0000 0.0000 0.1445 Ta
0.0000 0.0000 0.8555 Ta
0.6667 0.3333 0.3267 Ta
0.6667 0.3333 0.6733 Ta
0.0000 0.0000 0.5000 Tl
0.6667 0.3333 0.0000 Ge
0.3333 0.6667 0.2348 N
0.3333 0.6667 0.7652 N
```


Simulated powder diffraction line list of LaNdI4 for a wavelength of 1.5418 Å, from a cell relaxed with GGA-PBE.

Top 8 peaks for 2θ from 10° to 80°, low angle first:
d_spacing, intensity
7.509, 38
3.083, 100
2.767, 56
2.383, 47
1.957, 20
1.652, 31
1.554, 19
1.512, 22

Atomic structure:
```
LaNdI4
1.0
3.9138 0.0000 0.0000
0.0000 3.9138 0.0000
0.0000 0.0000 15.0186
La Nd I
1 1 4
direct
0.0000 0.0000 0.0000 La
0.5000 0.5000 0.5000 Nd
0.0000 0.0000 0.3751 I
0.0000 0.0000 0.6249 I
0.5000 0.5000 0.1268 I
0.5000 0.5000 0.8732 I
```


Simulated powder diffraction line list of ZnAg2C4S4N4 for a wavelength of 1.5418 Å, from a cell relaxed with GGA-PBE.

Top 8 peaks for 2θ from 10° to 80°, low angle first:
d_spacing, intensity
4.986, 100
4.363, 96
4.028, 96
3.852, 68
3.447, 72
2.754, 69
2.731, 60
2.137, 67

Atomic structure:
```
ZnAg2C4S4N4
1.0
9.8704 -3.8540 0.0000
9.8704 3.8540 0.0000
-0.8877 0.0000 7.7025
Zn Ag C S N
2 4 8 8 8
direct
0.1648 0.8352 0.7500 Zn
0.8352 0.1648 0.2500 Zn
0.1990 0.3905 0.2324 Ag
0.3905 0.1990 0.7324 Ag
0.6095 0.8010 0.2676 Ag
0.8010 0.6095 0.7676 Ag
0.0894 0.1647 0.6581 C
0.1647 0.0894 0.1581 C
0.3610 0.4756 0.5333 C
0.4756 0.3610 0.0333 C
0.5244 0.6390 0.9667 C
0.6390 0.5244 0.4667 C
0.8353 0.9106 0.8419 C
0.9106 0.8353 0.3419 C
0.0881 0.3130 0.6104 S
0.2650 0.4692 0.9676 S
0.3130 0.0881 0.1104 S
0.4692 0.2650 0.4676 S
0.5308 0.7350 0.5324 S
0.6870 0.9119 0.8896 S
0.7350 0.5308 0.0324 S
0.9119 0.6870 0.3896 S
0.0557 0.0922 0.1860 N
0.0922 0.0557 0.6860 N
0.2817 0.6282 0.5789 N
0.3718 0.7183 0.9211 N
0.6282 0.2817 0.0789 N
0.7183 0.3718 0.4211 N
0.9078 0.9443 0.3140 N
0.9443 0.9078 0.8140 N
```


Simulated powder diffraction line list of PrNdBr3N for a wavelength of 1.5418 Å, from a cell relaxed with GGA-PBE.

Top 8 peaks for 2θ from 10° to 80°, low angle first:
d_spacing, intensity
8.685, 100
3.490, 69
3.307, 59
2.895, 48
2.883, 84
2.849, 57
2.553, 56
2.158, 70

Atomic structure:
```
PrNdBr3N
1.0
9.0113 -2.0372 0.0000
9.0113 2.0372 0.0000
-6.2896 0.0000 9.8415
Pr Nd Br N
2 2 6 2
direct
0.1365 0.1365 0.2866 Pr
0.8635 0.8635 0.7134 Pr
0.4208 0.4208 0.0432 Nd
0.5792 0.5792 0.9568 Nd
0.0430 0.0430 0.7458 Br
0.2206 0.2206 0.1175 Br
0.3357 0.3357 0.4887 Br
0.6643 0.6643 0.5113 Br
0.7794 0.7794 0.8825 Br
0.9570 0.9570 0.2542 Br
0.4260 0.4260 0.8474 N
0.5740 0.5740 0.1526 N
```